No. 1
Structure and simulated X-ray powder pattern of LaAu3F12 (a DFT-relaxed cell (PBE, the Materials Project); copper Kα).

Main lines, in order of falling intensity (5° ≤ 2θ ≤ 70°):
hkl 1 1 3, 2θ = 22.94°, rel. 100.0; hkl 2 0 2, 2θ = 21.82°, rel. 97.5; hkl 0 2 4, 2θ = 28.67°, rel. 75.8; hkl 1 3 1, 2θ = 35.12°, rel. 30.1; hkl 2 1 1, 2θ = 25.84°, rel. 28.7; hkl 0 0 6, 2θ = 32.02°, rel. 28.7; hkl 3 1 5, 2θ = 44.23°, rel. 27.9; hkl 5 0 2, 2θ = 50.12°, rel. 25.9; hkl 2 3 2, 2θ = 43.68°, rel. 23.7; hkl 3 0 6, 2θ = 43.55°, rel. 21.9; hkl 3 2 4, 2θ = 47.74°, rel. 21.5; hkl 0 5 4, 2θ = 53.81°, rel. 19.1

Crystal structure
Lattice parameters (Å, degrees): 10.7638 10.7638 16.7712 90.00 90.00 120.00
Space group R-3c (No. 167, hexagonal axes)
Symmetry-distinct sites (fractional):
La (0.0000, 0.0000, 0.2500)
Au (0.0000, 0.4109, 0.2500)
F (0.0000, 0.2262, 0.2500)
F (0.0000, 0.4092, 0.7500)
F (0.0136, 0.1636, 0.8588)

---

No. 2
Structure and simulated X-ray powder pattern of LiAuF6 (a DFT-relaxed cell (PBE, the Materials Project); copper Kα).

Main lines, in order of falling intensity (5° ≤ 2θ ≤ 70°):
hkl 1 0 1, 2θ = 21.26°, rel. 100.0; hkl 0 1 2, 2θ = 24.01°, rel. 86.3; hkl 2 -1 3, 2θ = 40.64°, rel. 45.8; hkl 0 0 3, 2θ = 19.19°, rel. 41.3; hkl 1 0 4, 2θ = 32.93°, rel. 33.3; hkl 2 -1 6, 2θ = 53.69°, rel. 28.7; hkl 3 -2 2, 2θ = 57.14°, rel. 22.1; hkl 0 1 5, 2θ = 38.39°, rel. 20.7; hkl 0 2 1, 2θ = 41.72°, rel. 15.9; hkl 1 1 0, 2θ = 35.47°, rel. 15.1; hkl 2 0 2, 2θ = 43.29°, rel. 14.5; hkl 3 -1 1, 2θ = 55.89°, rel. 14.3

Crystal structure
Lattice parameters (Å, degrees): 5.0615 5.0615 13.8773 90.00 90.00 120.00
Space group R-3 (No. 148, hexagonal axes)
Symmetry-distinct sites (fractional):
Li (0.0000, 0.0000, 0.0000)
Au (0.0000, 0.0000, 0.5000)
F (0.0131, 0.3206, 0.5818)